No. 1
HfZrRu2: computed X-ray diffraction stick pattern (Cu Kα, 1.54184 Å), based on DFT lattice parameters and positions (GGA-PBE).

Most intense lines, 10° ≤ 2θ ≤ 90°, in order of rising 2θ:
2θ (°), I/Imax, (hkl)
23.57, 7, 1 1 1
27.29, 2, 2 0 0
38.97, 100, 2 2 0
46.05, 4, 3 1 1
56.30, 17, 4 0 0
61.87, 2, 3 3 1
70.59, 34, 4 2 2
75.59, 1, 5 1 1
83.70, 11, 4 4 0
88.49, 1, 5 3 1

Cell and atoms:
```
data_HfZrRu2
_cell_length_a 6.5367
_cell_length_b 6.5367
_cell_length_c 6.5367
_cell_angle_alpha 90.00
_cell_angle_beta 90.00
_cell_angle_gamma 90.00
_space_group_name_H-M_alt 'F m -3 m'
_space_group_IT_number 225
_space_group_name_Hall '-F 4 2 3'
loop_
_atom_site_label
_atom_site_type_symbol
_atom_site_fract_x
_atom_site_fract_y
_atom_site_fract_z
Hf1 Hf 0.0000 0.0000 0.0000
Zr1 Zr 0.0000 0.0000 0.5000
Ru1 Ru 0.2500 0.2500 0.2500
```

---

No. 2
SrRe3S4O11: computed X-ray diffraction stick pattern (Cu Kα, 1.54184 Å), based on DFT lattice parameters and positions (GGA-PBE).

Most intense lines, 10° ≤ 2θ ≤ 90°, in order of rising 2θ:
2θ (°), I/Imax, (hkl)
10.55, 56, 0 1 0
11.42, 100, 1 0 0
12.35, 44, 1 0 1
12.67, 35, 1 1 0
12.84, 36, 0 1 1
13.89, 46, 0 1 -1
25.50, 39, 2 2 0
25.79, 45, -1 1 2
32.40, 36, -1 1 3
35.69, 32, 2 0 4

Cell and atoms:
```
data_SrRe3S4O11
_cell_length_a 8.5950
_cell_length_b 9.0519
_cell_length_c 11.2877
_cell_angle_alpha 79.76
_cell_angle_beta 73.31
_cell_angle_gamma 68.33
_space_group_name_H-M_alt 'P -1'
_space_group_IT_number 2
_space_group_name_Hall '-P 1'
loop_
_atom_site_label
_atom_site_type_symbol
_atom_site_fract_x
_atom_site_fract_y
_atom_site_fract_z
Sr1 Sr 0.1475 0.1231 0.0756
Re1 Re 0.0548 0.6837 0.6108
Re2 Re 0.0983 0.6382 0.2968
Re3 Re 0.3012 0.3142 0.4849
S1 S 0.0907 0.1828 0.5498
S2 S 0.1636 0.4111 0.6863
S3 S 0.2134 0.3561 0.2952
S4 S 0.2839 0.5859 0.4326
O1 O 0.0196 0.4369 0.0397
O2 O 0.0598 0.9974 0.9431
O3 O 0.0729 0.8123 0.6979
O4 O 0.1707 0.7308 0.1579
O5 O 0.3142 0.9745 0.2825
O6 O 0.3730 0.6586 0.8430
O7 O 0.4309 0.5165 0.8794
O8 O 0.4333 0.9172 0.9647
O9 O 0.4466 0.1497 0.9758
O10 O 0.4606 0.9827 0.2738
O11 O 0.4904 0.8086 0.5282
```

---

No. 3
CdN: computed X-ray diffraction stick pattern (Cu Kα, 1.54184 Å), based on DFT lattice parameters and positions (GGA-PBE).

Most intense lines, 10° ≤ 2θ ≤ 90°, in order of rising 2θ:
2θ (°), I/Imax, (hkl)
29.92, 85, 1 0 0
42.82, 100, 1 1 0
53.11, 23, 1 1 1
62.16, 15, 2 0 0
70.50, 29, 2 1 0
78.43, 30, 2 1 1

Cell and atoms:
```
data_CdN
_cell_length_a 2.9868
_cell_length_b 2.9868
_cell_length_c 2.9868
_cell_angle_alpha 90.00
_cell_angle_beta 90.00
_cell_angle_gamma 90.00
_space_group_name_H-M_alt 'P m -3 m'
_space_group_IT_number 221
_space_group_name_Hall '-P 4 2 3'
loop_
_atom_site_label
_atom_site_type_symbol
_atom_site_fract_x
_atom_site_fract_y
_atom_site_fract_z
Cd1 Cd 0.0000 0.0000 0.0000
N1 N 0.5000 0.5000 0.5000
```

---

What is the formula in the third record?
CdN